This entry pairs a crystal structure of SmIn9Ir2 with its calculated X-ray powder pattern. Radiation: Cu Kα, 1.54184 Å. Structure: the PBE geometry in Alexandria.
Kinematic intensities with the Lorentz-polarization factor, no thermal factor.

Peak list (10 most intense, 2θ = 10–90°, sorted by position)
two_theta, I (rel.)
14.14, 26.8
28.79, 41.1
32.37, 43.2
33.68, 100.0
37.87, 27.5
38.45, 88.3
40.69, 21.6
41.02, 40.9
41.27, 32.9
58.58, 18.3

Structure:
```
SmIn9Ir2
1.0
-6.184 6.184 3.631
6.184 -6.184 3.631
6.184 6.184 -3.631
Sm In Ir
2 18 4
direct
0.375 0.625 0.750
0.625 0.375 0.250
0.102 0.550 0.313
0.102 0.789 0.552
0.125 0.875 0.250
0.211 0.263 0.313
0.211 0.898 0.948
0.263 0.211 0.813
0.263 0.450 0.052
0.450 0.263 0.552
0.450 0.898 0.187
0.550 0.102 0.813
0.550 0.737 0.448
0.737 0.550 0.948
0.737 0.789 0.187
0.789 0.102 0.052
0.789 0.737 0.687
0.875 0.125 0.750
0.898 0.211 0.448
0.898 0.450 0.687
0.000 0.000 0.000
0.000 0.000 0.500
0.000 0.500 0.000
0.500 0.000 0.500
```



This entry pairs a crystal structure of Tb2MgSb4 with its calculated X-ray powder pattern. Radiation: Cu Kα, 1.54184 Å. Structure: the PBE geometry in Alexandria.
Kinematic intensities with the Lorentz-polarization factor, no thermal factor.

Peak list (10 most intense, 2θ = 10–90°, sorted by position)
two_theta, I (rel.)
26.41, 33.1
30.87, 19.8
32.07, 25.6
33.94, 100.0
38.66, 25.7
42.63, 35.9
46.00, 13.5
54.34, 16.7
58.90, 13.7
72.48, 21.7

Structure:
```
Tb2MgSb4
1.0
4.242 0.000 0.000
0.000 4.242 0.000
0.000 0.000 11.145
Tb Mg Sb
2 1 4
direct
0.000 0.500 0.225
0.500 0.000 0.775
0.000 0.000 0.500
0.000 0.000 0.000
0.000 0.500 0.675
0.500 0.000 0.325
0.500 0.500 0.000
```



This entry pairs a crystal structure of PrH4Pt with its calculated X-ray powder pattern. Radiation: Cu Kα, 1.54184 Å. Structure: the PBE geometry in Alexandria.
Kinematic intensities with the Lorentz-polarization factor, no thermal factor.

Peak list (10 most intense, 2θ = 10–90°, sorted by position)
two_theta, I (rel.)
26.71, 57.3
28.41, 100.0
38.77, 21.4
39.39, 84.5
42.39, 17.7
47.71, 24.8
50.82, 20.1
63.09, 21.4
65.71, 19.1
70.61, 15.3

Structure:
```
PrH4Pt
1.0
-2.132 2.322 3.337
2.132 -2.322 3.337
2.132 2.322 -3.337
Pr H Pt
1 4 1
direct
0.000 0.000 0.000
0.065 0.329 0.735
0.406 0.671 0.735
0.594 0.329 0.265
0.935 0.671 0.265
0.500 0.500 0.000
```



This entry pairs a crystal structure of PmSn4Ir4 with its calculated X-ray powder pattern. Radiation: Cu Kα, 1.54184 Å. Structure: the PBE geometry in Alexandria.
Kinematic intensities with the Lorentz-polarization factor, no thermal factor.

Peak list (10 most intense, 2θ = 10–90°, sorted by position)
two_theta, I (rel.)
28.35, 26.7
31.00, 100.0
35.12, 57.7
36.92, 66.1
42.04, 30.5
42.96, 30.6
43.14, 37.1
44.14, 33.2
51.88, 49.7
53.21, 33.3

Structure:
```
PmSn4Ir4
1.0
6.886 0.000 0.000
0.000 6.886 0.000
0.000 0.000 8.254
Pm Sn Ir
2 8 8
direct
0.250 0.750 0.250
0.750 0.250 0.750
0.005 0.750 0.617
0.250 0.505 0.883
0.250 0.995 0.883
0.495 0.750 0.617
0.505 0.250 0.383
0.750 0.005 0.117
0.750 0.495 0.117
0.995 0.250 0.383
0.048 0.250 0.063
0.250 0.048 0.563
0.250 0.452 0.563
0.452 0.250 0.063
0.548 0.750 0.937
0.750 0.548 0.437
0.750 0.952 0.437
0.952 0.750 0.937
```



This entry pairs a crystal structure of Ag2Hg4PBr5 with its calculated X-ray powder pattern. Radiation: Cu Kα, 1.54184 Å. Structure: the PBE geometry in Alexandria.
Kinematic intensities with the Lorentz-polarization factor, no thermal factor.

Peak list (10 most intense, 2θ = 10–90°, sorted by position)
two_theta, I (rel.)
15.67, 28.8
24.06, 38.9
25.19, 100.0
31.65, 30.3
32.11, 37.0
32.79, 17.2
33.20, 21.4
41.43, 20.2
43.00, 39.1
45.04, 23.2

Structure:
```
Ag2Hg4PBr5
1.0
9.057 0.000 0.000
0.000 6.412 3.150
0.000 -6.412 3.150
Ag Hg P Br
2 4 1 5
direct
0.000 0.198 0.802
0.000 0.802 0.198
0.295 0.392 0.392
0.500 0.318 0.907
0.500 0.907 0.318
0.705 0.392 0.392
0.500 0.133 0.133
0.000 0.181 0.181
0.211 0.507 0.826
0.211 0.826 0.507
0.789 0.507 0.826
0.789 0.826 0.507
```



This entry pairs a crystal structure of RbReP2O8 with its calculated X-ray powder pattern. Radiation: Cu Kα, 1.54184 Å. Structure: the PBE geometry in Alexandria.
Kinematic intensities with the Lorentz-polarization factor, no thermal factor.

Peak list (10 most intense, 2θ = 10–90°, sorted by position)
two_theta, I (rel.)
19.99, 17.2
21.76, 27.2
24.68, 100.0
34.07, 24.6
36.26, 27.6
39.82, 15.4
41.75, 19.6
44.36, 13.5
55.57, 13.4
58.58, 15.5

Structure:
```
RbReP2O8
1.0
2.477 1.430 8.883
-2.477 1.430 8.883
0.000 -2.861 8.883
Rb Re P O
1 1 2 8
direct
0.000 0.000 0.000
0.500 0.500 0.500
0.232 0.232 0.232
0.768 0.768 0.768
0.107 0.739 0.525
0.261 0.475 0.893
0.288 0.288 0.288
0.475 0.893 0.261
0.525 0.107 0.739
0.712 0.712 0.712
0.739 0.525 0.107
0.893 0.261 0.475
```



This entry pairs a crystal structure of Dy4Sb2O with its calculated X-ray powder pattern. Radiation: Cu Kα, 1.54184 Å. Structure: the PBE geometry in Alexandria.
Kinematic intensities with the Lorentz-polarization factor, no thermal factor.

Peak list (10 most intense, 2θ = 10–90°, sorted by position)
two_theta, I (rel.)
29.37, 47.7
30.17, 100.0
30.77, 94.4
31.91, 51.4
34.27, 26.7
34.53, 53.2
34.76, 77.5
40.21, 29.9
40.67, 25.5
59.13, 28.7

Structure:
```
Dy4Sb2O
1.0
6.447 0.000 0.000
0.000 6.606 0.000
-2.832 0.000 8.413
Dy Sb O
8 4 2
direct
0.033 0.001 0.295
0.033 0.499 0.295
0.341 0.250 0.052
0.425 0.250 0.651
0.575 0.750 0.349
0.659 0.750 0.948
0.967 0.501 0.705
0.967 0.999 0.705
0.202 0.750 0.028
0.324 0.750 0.597
0.676 0.250 0.403
0.798 0.250 0.972
0.200 0.250 0.791
0.800 0.750 0.209
```



This entry pairs a crystal structure of Cs5Rb2Na5 with its calculated X-ray powder pattern. Radiation: Cu Kα, 1.54184 Å. Structure: the PBE geometry in Alexandria.
Kinematic intensities with the Lorentz-polarization factor, no thermal factor.

Peak list (10 most intense, 2θ = 10–90°, sorted by position)
two_theta, I (rel.)
15.22, 17.3
17.56, 31.2
20.66, 25.0
21.82, 49.6
24.26, 100.0
24.37, 32.8
25.54, 15.1
32.88, 17.4
40.75, 19.7
42.65, 19.9

Structure:
```
Cs5Rb2Na5
1.0
7.304 0.000 0.000
-3.646 6.366 0.000
-0.004 -4.211 19.478
Cs Rb Na
5 2 5
direct
0.000 0.000 0.000
0.189 0.378 0.567
0.280 0.561 0.839
0.720 0.439 0.161
0.811 0.622 0.433
0.429 0.857 0.285
0.571 0.143 0.715
0.107 0.212 0.317
0.354 0.705 0.061
0.500 0.000 0.500
0.646 0.295 0.939
0.893 0.788 0.683
```